# 1
# VFe2Se4
Theoretical X-ray powder pattern, Cu Kα (weighted mean of Kα1 and Kα2). Input: a structure optimized by DFT (GGA-PBE).

Most intense lines, 2θ = 10–80°, low angle first:
2θ = 33.5°, rel. 50
2θ = 33.7°, rel. 100
2θ = 34.1°, rel. 46
2θ = 43.4°, rel. 41
2θ = 44.0°, rel. 55
2θ = 52.2°, rel. 50

Structure:
```
14
Lattice="12.9277 0.0000 0.0000 0.0000 3.3939 0.0000 -2.7473 0.0000 5.4845" Properties=species:S:1:pos:R:3 pbc="T T T"
V 0.0000 0.0000 0.0000
V 6.4639 1.6969 0.0000
Fe -1.6143 1.6969 3.4985
Fe 2.4089 0.0000 1.7204
Fe 4.8495 0.0000 3.4985
Fe 8.8727 1.6969 1.7204
Se 0.5369 1.6969 1.8735
Se -0.4619 0.0000 4.7800
Se 2.5654 0.0000 4.1572
Se 4.2456 1.6969 1.6236
Se 7.0008 0.0000 1.8735
Se 6.0020 1.6969 4.7800
Se 9.0293 1.6969 4.1572
Se 10.7095 0.0000 1.6236
```

# 2
# KCu3As2O10
Theoretical X-ray powder pattern, Cu Kα (weighted mean of Kα1 and Kα2). Input: a structure optimized by DFT (GGA-PBE).

Most intense lines, 2θ = 10–80°, low angle first:
2θ = 12.1°, rel. 100
2θ = 24.1°, rel. 23
2θ = 26.3°, rel. 64
2θ = 32.3°, rel. 27
2θ = 35.0°, rel. 30
2θ = 36.1°, rel. 40

Structure:
```
16
Lattice="5.0429 -2.9954 0.0000 5.0429 2.9954 0.0000 -3.8120 0.0000 7.3070" Properties=species:S:1:pos:R:3 pbc="T T T"
K 0.0000 0.0000 0.0000
Cu -1.9060 0.0000 3.6535
Cu 0.6155 1.4977 3.6535
Cu 0.6155 -1.4977 3.6535
As 3.4585 0.0000 1.7424
As 2.8153 0.0000 5.5646
O -0.1712 0.0000 4.3763
O 2.1067 1.4609 4.8315
O 1.7976 0.0000 2.0805
O 4.1671 1.4609 2.4755
O 3.7725 0.0000 0.0709
O 2.5014 0.0000 7.2361
O 2.1067 -1.4609 4.8315
O 4.4762 0.0000 5.2265
O 4.1671 -1.4609 2.4755
O 6.4450 0.0000 2.9307
```

# 3
# GdSI
Theoretical X-ray powder pattern, Cu Kα (weighted mean of Kα1 and Kα2). Input: a structure optimized by DFT (GGA-PBE).

Most intense lines, 2θ = 10–80°, low angle first:
2θ = 18.9°, rel. 100
2θ = 28.0°, rel. 93
2θ = 28.3°, rel. 49
2θ = 33.2°, rel. 32
2θ = 39.0°, rel. 45
2θ = 44.0°, rel. 54

Structure:
```
6
Lattice="4.2626 0.0000 0.0000 0.0000 5.3946 0.0000 0.0000 0.0000 9.5891" Properties=species:S:1:pos:R:3 pbc="T T T"
Gd 1.0656 1.3486 1.1704
Gd 3.1969 4.0459 8.4188
S 1.0656 4.0459 0.6048
S 3.1969 1.3486 8.9844
I 1.0656 4.0459 6.1846
I 3.1969 1.3486 3.4046
```